Structure and calculated XRD peak list of NdGdZnBi (a cell relaxed with PBE; a wavelength of 1.5418 Å).

Crystal structure
```
data_NdGdZnBi
_chemical_formula_sum 'Nd4 Gd4 Zn4 Bi4'
_cell_length_a 7.624
_cell_length_b 7.624
_cell_length_c 7.624
_cell_angle_alpha 90.00
_cell_angle_beta 90.00
_cell_angle_gamma 90.00
_symmetry_space_group_name_H-M 'F -4 3 m'
_symmetry_Int_Tables_number 216
_symmetry_space_group_name_Hall 'F -4 2 3'
loop_
_atom_site_label
_atom_site_type_symbol
_atom_site_fract_x
_atom_site_fract_y
_atom_site_fract_z
_atom_site_occupancy
Nd1 Nd 0.000 0.000 0.000 1
Gd1 Gd 0.000 0.000 0.500 1
Zn1 Zn 0.250 0.250 0.250 1
Bi1 Bi 0.250 0.250 0.750 1
```

Main lines, by angle (10 to 90 degrees two-theta):
Position (°2θ)  d [Å]  I_rel  hkl
20.17  4.402  12.0  1 1 1
33.24  2.696  100.0  2 2 0
39.19  2.299  7.2  3 1 1
47.71  1.906  18.3  4 0 0
52.30  1.749  3.3  3 3 1
59.38  1.556  38.1  4 2 2
69.78  1.348  11.8  4 4 0
73.48  1.289  2.6  5 3 1
79.51  1.206  16.5  6 2 0
88.94  1.100  4.3  4 4 4